AgHgSeO: calculated powder XRD pattern (Cu Kα), based on a DFT-relaxed cell (PBE, OQMD).
Peak positions follow from Bragg's law for the DFT cell and can differ from measured ones.

Atomic structure:
```
data_AgHgSeO
_chemical_formula_sum 'Ag2 Hg2 Se2 O2'
_cell_length_a 3.7025
_cell_length_b 3.7025
_cell_length_c 13.1771
_cell_angle_alpha 90.00
_cell_angle_beta 90.00
_cell_angle_gamma 120.00
_space_group_name_H-M_alt 'P 63 m c'
_space_group_IT_number 186
_space_group_name_Hall 'P 6c -2c'
loop_
_atom_site_label
_atom_site_fract_x
_atom_site_fract_y
_atom_site_fract_z
Ag1 0.0000 0.0000 0.0000
Hg1 0.3333 0.6667 0.2713
Se1 0.3333 0.6667 0.6166
O1 0.0000 0.0000 0.3362
```

Peak list (10 most intense, 2θ from 10° to 90°, low angle first)
(hkl)	two_theta	I (rel.)
0 0 4	27.07	30
1 0 1	28.65	60
1 0 2	31.02	91
1 0 3	34.64	100
1 0 5	44.50	27
1 1 0	49.22	52
1 0 6	50.36	33
1 1 4	57.07	23
2 0 3	61.58	19
2 1 3	82.58	17



AgHgSeO: calculated powder XRD pattern (Cu Kα), based on a DFT-relaxed cell (PBE, OQMD).
Peak positions follow from Bragg's law for the DFT cell and can differ from measured ones.

Atomic structure:
```
data_AgHgSeO
_chemical_formula_sum 'Ag4 Hg4 Se4 O4'
_cell_length_a 3.5108
_cell_length_b 14.3720
_cell_length_c 5.6487
_cell_angle_alpha 90.00
_cell_angle_beta 90.00
_cell_angle_gamma 90.00
_space_group_name_H-M_alt 'C m c m'
_space_group_IT_number 63
_space_group_name_Hall '-C 2c 2'
loop_
_atom_site_label
_atom_site_fract_x
_atom_site_fract_y
_atom_site_fract_z
Ag1 0.0000 0.1333 0.2500
Hg1 0.0000 0.4319 0.2500
Se1 0.0000 0.2225 0.7500
O1 0.0000 0.0000 0.0000
```

Peak list (10 most intense, 2θ from 10° to 90°, low angle first)
(hkl)	two_theta	I (rel.)
0 4 1	29.46	22
1 1 1	30.62	11
0 0 2	31.66	63
1 3 1	35.46	100
0 6 1	40.92	25
1 3 2	45.35	19
2 0 0	52.10	13
1 3 3	58.90	23
2 0 2	62.27	13
2 6 1	68.29	11



AgHgSeO: calculated powder XRD pattern (Cu Kα), based on a DFT-relaxed cell (PBE, OQMD).
Peak positions follow from Bragg's law for the DFT cell and can differ from measured ones.

Atomic structure:
```
data_AgHgSeO
_chemical_formula_sum 'Ag4 Hg4 Se4 O4'
_cell_length_a 6.3042
_cell_length_b 7.9732
_cell_length_c 6.0357
_cell_angle_alpha 90.00
_cell_angle_beta 90.00
_cell_angle_gamma 90.00
_space_group_name_H-M_alt 'P c a 21'
_space_group_IT_number 29
_space_group_name_Hall 'P 2c -2ac'
loop_
_atom_site_label
_atom_site_fract_x
_atom_site_fract_y
_atom_site_fract_z
Ag1 0.2488 0.0769 0.0000
Hg1 0.0745 0.6508 0.7431
Se1 0.0301 0.3286 0.7435
O1 0.0131 0.9242 0.7514
```

Peak list (10 most intense, 2θ from 10° to 90°, low angle first)
(hkl)	two_theta	I (rel.)
1 1 1	23.25	51
1 2 0	26.45	75
2 1 0	30.50	69
0 1 2	31.70	100
2 0 1	32.03	64
0 3 0	33.72	61
2 0 2	41.42	86
3 1 0	44.59	43
0 3 2	45.48	62
2 3 1	47.20	40



AgHgTeO: calculated powder XRD pattern (Cu Kα), based on a DFT-relaxed cell (PBE, OQMD).
Peak positions follow from Bragg's law for the DFT cell and can differ from measured ones.

Atomic structure:
```
data_AgHgTeO
_chemical_formula_sum 'Ag4 Hg4 Te4 O4'
_cell_length_a 7.3653
_cell_length_b 8.7572
_cell_length_c 5.7095
_cell_angle_alpha 90.00
_cell_angle_beta 90.00
_cell_angle_gamma 90.00
_space_group_name_H-M_alt 'P c a 21'
_space_group_IT_number 29
_space_group_name_Hall 'P 2c -2ac'
loop_
_atom_site_label
_atom_site_fract_x
_atom_site_fract_y
_atom_site_fract_z
Ag1 0.0271 0.1649 0.0000
Hg1 0.1114 0.5756 0.9675
Te1 0.0917 0.1358 0.5019
O1 0.0966 0.6029 0.5340
```

Peak list (10 most intense, 2θ from 10° to 90°, low angle first)
(hkl)	two_theta	I (rel.)
1 2 0	23.64	61
2 0 0	24.17	29
1 2 1	28.40	23
0 3 0	30.64	100
0 0 2	31.33	75
1 3 1	36.67	37
1 2 2	39.62	30
3 2 0	42.20	36
0 3 2	44.39	16
3 2 2	53.49	33



AgHgTeO: calculated powder XRD pattern (Cu Kα), based on a DFT-relaxed cell (PBE, OQMD).
Peak positions follow from Bragg's law for the DFT cell and can differ from measured ones.

Atomic structure:
```
data_AgHgTeO
_chemical_formula_sum 'Ag4 Hg4 Te4 O4'
_cell_length_a 3.5694
_cell_length_b 14.7515
_cell_length_c 5.9430
_cell_angle_alpha 90.00
_cell_angle_beta 90.00
_cell_angle_gamma 90.00
_space_group_name_H-M_alt 'C m c m'
_space_group_IT_number 63
_space_group_name_Hall '-C 2c 2'
loop_
_atom_site_label
_atom_site_fract_x
_atom_site_fract_y
_atom_site_fract_z
Ag1 0.0000 0.1252 0.2500
Hg1 0.0000 0.4424 0.2500
Te1 0.0000 0.2266 0.7500
O1 0.0000 0.0000 0.0000
```

Peak list (10 most intense, 2θ from 10° to 90°, low angle first)
(hkl)	two_theta	I (rel.)
0 0 2	30.07	47
1 3 0	30.96	22
1 3 1	34.52	100
0 6 1	39.67	36
1 3 2	43.70	22
2 0 0	51.18	12
1 3 3	56.31	24
2 0 2	60.51	13
2 6 1	66.64	15
1 9 2	70.75	14



AgHgTeO: calculated powder XRD pattern (Cu Kα), based on a DFT-relaxed cell (PBE, OQMD).
Peak positions follow from Bragg's law for the DFT cell and can differ from measured ones.

Atomic structure:
```
data_AgHgTeO
_chemical_formula_sum 'Ag4 Hg4 Te4 O4'
_cell_length_a 6.5739
_cell_length_b 8.2248
_cell_length_c 6.1320
_cell_angle_alpha 90.00
_cell_angle_beta 90.00
_cell_angle_gamma 90.00
_space_group_name_H-M_alt 'P c a 21'
_space_group_IT_number 29
_space_group_name_Hall 'P 2c -2ac'
loop_
_atom_site_label
_atom_site_fract_x
_atom_site_fract_y
_atom_site_fract_z
Ag1 0.2488 0.0627 0.0000
Hg1 0.0738 0.6661 0.2515
Te1 0.0339 0.3284 0.2526
O1 0.0047 0.9317 0.2487
```

Peak list (10 most intense, 2θ from 10° to 90°, low angle first)
(hkl)	two_theta	I (rel.)
0 0 2	29.13	47
2 1 0	29.26	74
2 0 1	30.87	71
0 1 2	31.13	94
0 3 0	32.66	93
0 2 2	36.56	56
2 0 2	40.22	100
0 3 2	44.32	48
2 3 1	45.55	49
2 3 2	52.74	70



Ag2Hg2Te3O12: calculated powder XRD pattern (Cu Kα), based on a DFT-relaxed cell (PBE, OQMD).
Peak positions follow from Bragg's law for the DFT cell and can differ from measured ones.

Atomic structure:
```
data_Ag2Hg2Te3O12
_chemical_formula_sum 'Ag4 Hg4 Te6 O24'
_cell_length_a 6.5212
_cell_length_b 6.1367
_cell_length_c 14.1374
_cell_angle_alpha 90.00
_cell_angle_beta 112.78
_cell_angle_gamma 90.00
_space_group_name_H-M_alt 'P 1 21/c 1'
_space_group_IT_number 14
_space_group_name_Hall '-P 2ybc'
loop_
_atom_site_label
_atom_site_fract_x
_atom_site_fract_y
_atom_site_fract_z
Ag1 0.1017 0.1275 0.2913
Hg1 0.2929 0.5412 0.0995
Te1 0.0000 0.0000 0.0000
Te2 0.4082 0.5915 0.3906
O1 0.0107 0.2117 0.4455
O2 0.1180 0.6382 0.4047
O3 0.2594 0.0455 0.7636
O4 0.2936 0.0491 0.1132
O5 0.3955 0.6157 0.8435
O6 0.4469 0.1930 0.9635
```

Peak list (10 most intense, 2θ from 10° to 90°, low angle first)
(hkl)	two_theta	I (rel.)
1 1 1	23.54	21
1 0 -4	25.56	91
0 2 0	29.10	33
0 2 1	29.92	42
2 1 -1	31.42	100
1 1 3	33.15	89
1 2 -2	33.24	21
1 2 -4	39.09	33
1 1 -7	47.58	42
4 0 -2	57.28	22



AgHgTeO: calculated powder XRD pattern (Cu Kα), based on a DFT-relaxed cell (PBE, OQMD).
Peak positions follow from Bragg's law for the DFT cell and can differ from measured ones.

Atomic structure:
```
data_AgHgTeO
_chemical_formula_sum 'Ag2 Hg2 Te2 O2'
_cell_length_a 3.8501
_cell_length_b 3.8501
_cell_length_c 13.4425
_cell_angle_alpha 90.00
_cell_angle_beta 90.00
_cell_angle_gamma 120.00
_space_group_name_H-M_alt 'P 63 m c'
_space_group_IT_number 186
_space_group_name_Hall 'P 6c -2c'
loop_
_atom_site_label
_atom_site_fract_x
_atom_site_fract_y
_atom_site_fract_z
Ag1 0.3333 0.6667 0.0000
Hg1 0.0000 0.0000 0.2172
Te1 0.3333 0.6667 0.3660
O1 0.0000 0.0000 0.0604
```

Peak list (10 most intense, 2θ from 10° to 90°, low angle first)
(hkl)	two_theta	I (rel.)
1 0 1	27.56	12
1 0 2	29.91	100
1 0 3	33.50	39
1 0 4	38.02	30
1 0 5	43.23	16
1 1 0	47.22	40
1 0 6	48.98	16
2 0 2	56.91	17
1 1 6	63.74	17
2 1 2	76.98	14



AgHgTeO: calculated powder XRD pattern (Cu Kα), based on a DFT-relaxed cell (PBE, OQMD).
Peak positions follow from Bragg's law for the DFT cell and can differ from measured ones.

Atomic structure:
```
data_AgHgTeO
_chemical_formula_sum 'Ag2 Hg2 Te2 O2'
_cell_length_a 3.7805
_cell_length_b 3.7805
_cell_length_c 13.9142
_cell_angle_alpha 90.00
_cell_angle_beta 90.00
_cell_angle_gamma 120.00
_space_group_name_H-M_alt 'P 63 m c'
_space_group_IT_number 186
_space_group_name_Hall 'P 6c -2c'
loop_
_atom_site_label
_atom_site_fract_x
_atom_site_fract_y
_atom_site_fract_z
Ag1 0.0000 0.0000 0.0000
Hg1 0.3333 0.6667 0.2903
Te1 0.3333 0.6667 0.6256
O1 0.0000 0.0000 0.3446
```

Peak list (10 most intense, 2θ from 10° to 90°, low angle first)
(hkl)	two_theta	I (rel.)
0 0 4	25.61	16
1 0 1	28.00	45
1 0 2	30.17	65
1 0 3	33.50	100
0 0 6	38.83	16
1 0 5	42.64	17
1 1 0	48.12	67
2 0 3	59.92	19
1 1 6	63.49	23
2 1 3	80.30	17



AgHgTeO: calculated powder XRD pattern (Cu Kα), based on a DFT-relaxed cell (PBE, OQMD).
Peak positions follow from Bragg's law for the DFT cell and can differ from measured ones.

Atomic structure:
```
data_AgHgTeO
_chemical_formula_sum 'Ag4 Hg4 Te4 O4'
_cell_length_a 6.8576
_cell_length_b 3.6087
_cell_length_c 13.9590
_cell_angle_alpha 90.00
_cell_angle_beta 90.00
_cell_angle_gamma 90.00
_space_group_name_H-M_alt 'P n m a'
_space_group_IT_number 62
_space_group_name_Hall '-P 2ac 2n'
loop_
_atom_site_label
_atom_site_fract_x
_atom_site_fract_y
_atom_site_fract_z
Ag1 0.2229 0.2500 0.0519
Hg1 0.0304 0.2500 0.7500
Te1 0.2292 0.2500 0.4054
O1 0.2199 0.7500 0.1581
```

Peak list (10 most intense, 2θ from 10° to 90°, low angle first)
(hkl)	two_theta	I (rel.)
0 0 4	25.51	20
2 0 2	29.01	68
0 1 3	31.37	100
2 1 1	36.73	83
0 0 6	38.70	19
2 1 5	49.07	36
0 2 0	50.59	16
2 2 2	59.40	35
4 1 3	63.29	16
0 2 6	65.48	14



AgHgPS4: calculated powder XRD pattern (Cu Kα), based on a DFT-relaxed cell (PBE, OQMD).
Peak positions follow from Bragg's law for the DFT cell and can differ from measured ones.

Atomic structure:
```
data_AgHgPS4
_chemical_formula_sum 'Ag2 Hg2 P2 S8'
_cell_length_a 6.3629
_cell_length_b 6.5391
_cell_length_c 9.8723
_cell_angle_alpha 90.00
_cell_angle_beta 129.23
_cell_angle_gamma 90.00
_space_group_name_H-M_alt 'P 1 c 1'
_space_group_IT_number 7
_space_group_name_Hall 'P -2yc'
loop_
_atom_site_label
_atom_site_fract_x
_atom_site_fract_y
_atom_site_fract_z
Ag1 0.0000 0.1379 0.0000
Hg1 0.7594 0.3173 0.2562
P1 0.5122 0.1825 0.5038
S1 0.2292 0.2130 0.5425
S2 0.3792 0.3473 0.2829
S3 0.5707 0.1202 0.9720
S4 0.8732 0.3071 0.7174
```

Peak list (10 most intense, 2θ from 10° to 90°, low angle first)
(hkl)	two_theta	I (rel.)
0 1 1	17.85	92
1 0 0	18.00	62
1 0 -2	18.28	59
0 1 2	27.01	67
2 0 -2	28.05	75
0 2 1	29.72	45
1 1 1	30.34	57
1 1 -3	30.71	100
1 0 2	37.86	47
0 3 2	48.07	58



Pr3AgHg3Pd2: calculated powder XRD pattern (Cu Kα), based on a DFT-relaxed cell (PBE, OQMD).
Peak positions follow from Bragg's law for the DFT cell and can differ from measured ones.

Atomic structure:
```
data_Pr3AgHg3Pd2
_chemical_formula_sum 'Pr3 Ag1 Hg3 Pd2'
_cell_length_a 7.9207
_cell_length_b 7.9207
_cell_length_c 3.9680
_cell_angle_alpha 90.00
_cell_angle_beta 90.00
_cell_angle_gamma 120.00
_space_group_name_H-M_alt 'P -6 2 m'
_space_group_IT_number 189
_space_group_name_Hall 'P -6 -2'
loop_
_atom_site_label
_atom_site_fract_x
_atom_site_fract_y
_atom_site_fract_z
Pr1 0.0000 0.4074 0.0000
Ag1 0.0000 0.0000 0.0000
Hg1 0.0000 0.7323 0.5000
Pd1 0.3333 0.6667 0.5000
```

Peak list (10 most intense, 2θ from 10° to 90°, low angle first)
(hkl)	two_theta	I (rel.)
1 1 1	31.93	86
2 0 1	34.58	100
3 0 0	39.41	33
2 1 1	41.61	21
0 0 2	45.74	23
4 0 0	53.42	13
2 1 2	58.61	28
3 0 2	61.93	20
3 2 1	63.61	29
5 0 1	72.97	11



Pr3TlAgHg2Pt2: calculated powder XRD pattern (Cu Kα), based on a DFT-relaxed cell (PBE, OQMD).
Peak positions follow from Bragg's law for the DFT cell and can differ from measured ones.

Atomic structure:
```
data_Pr3TlAgHg2Pt2
_chemical_formula_sum 'Pr6 Tl2 Ag2 Hg4 Pt4'
_cell_length_a 3.9548
_cell_length_b 13.8507
_cell_length_c 7.9961
_cell_angle_alpha 90.00
_cell_angle_beta 90.00
_cell_angle_gamma 90.00
_space_group_name_H-M_alt 'A m m 2'
_space_group_IT_number 38
_space_group_name_Hall 'A 2 -2'
loop_
_atom_site_label
_atom_site_fract_x
_atom_site_fract_y
_atom_site_fract_z
Pr1 0.0000 0.0000 0.0000
Pr2 0.0000 0.2082 0.3886
Tl1 0.5000 0.0000 0.3329
Ag1 0.0000 0.0000 0.5948
Hg1 0.5000 0.1323 0.7248
Pt1 0.5000 0.1656 0.0948
```

Peak list (10 most intense, 2θ from 10° to 90°, low angle first)
(hkl)	two_theta	I (rel.)
1 0 2	31.83	100
0 4 2	34.26	59
1 4 0	34.43	88
0 3 3	39.02	49
1 1 3	41.37	38
2 0 0	45.89	26
2 4 2	58.50	26
2 3 3	61.77	25
1 7 3	63.06	39
1 11 1	81.05	14